# 1
Theoretical XRD peak list
Compound: Ge2IrPt
Radiation: λ = 1.5418 Å (Cu Kα)
Structure: a crystal structure in OQMD, relaxed with PBE
Peak positions follow from Bragg's law for the DFT cell and can differ from measured ones.

Structural model:
Lattice parameters (Å, degrees): 5.5804 3.7138 6.3050 90.00 90.54 90.00
Positions (direct):
Ge 0.1773 0.2500 0.4185
Ge 0.2989 0.7500 0.9144
Ge 0.7011 0.2500 0.0856
Ge 0.8227 0.7500 0.5815
Ir 0.0011 0.7500 0.2009
Ir 0.9989 0.2500 0.7991
Pt 0.5000 0.2500 0.7034
Pt 0.5000 0.7500 0.2966

Main lines, low angle first (2θ = 10–90°):
| 2theta | d [Å] | I_rel |
| --- | --- | --- |
| 27.88 | 3.200 | 100 |
| 28.31 | 3.152 | 33 |
| 32.11 | 2.787 | 46 |
| 40.77 | 2.213 | 31 |
| 42.90 | 2.108 | 62 |
| 43.11 | 2.098 | 98 |
| 49.06 | 1.857 | 37 |
| 49.86 | 1.829 | 38 |

# 2
Theoretical XRD peak list
Compound: Nd2Ho2CI3Cl2
Radiation: λ = 1.5418 Å (Cu Kα)
Structure: a crystal structure in OQMD, relaxed with PBE
Peak positions follow from Bragg's law for the DFT cell and can differ from measured ones.

Structural model:
Lattice parameters (Å, degrees): 9.4694 9.4694 8.8051 100.25 100.25 24.15
Positions (direct):
Nd 0.0014 0.0014 0.3046
Nd 0.9986 0.9986 0.6954
Ho 0.3684 0.3684 0.4389
Ho 0.6316 0.6316 0.5611
C 0.5000 0.5000 0.5000
I 0.1767 0.1767 0.3254
I 0.5000 0.5000 0.0000
I 0.8233 0.8233 0.6746
Cl 0.1547 0.1547 0.7769
Cl 0.8453 0.8453 0.2231

Main lines, low angle first (2θ = 10–90°):
| 2theta | d [Å] | I_rel |
| --- | --- | --- |
| 10.22 | 8.658 | 94 |
| 23.68 | 3.758 | 21 |
| 29.43 | 3.035 | 36 |
| 30.37 | 2.943 | 100 |
| 33.42 | 2.681 | 22 |
| 33.63 | 2.665 | 40 |
| 41.95 | 2.154 | 20 |
| 43.63 | 2.075 | 26 |

# 3
Theoretical XRD peak list
Compound: BaSrSi3Au
Radiation: λ = 1.5418 Å (Cu Kα)
Structure: a crystal structure in OQMD, relaxed with PBE
Peak positions follow from Bragg's law for the DFT cell and can differ from measured ones.

Structural model:
Lattice parameters (Å, degrees): 8.8059 8.4748 6.4688 70.76 65.32 43.91
Positions (direct):
Ba 0.2469 0.7531 0.2469
Ba 0.7531 0.2469 0.7531
Sr 0.2500 0.2500 0.2500
Sr 0.7500 0.7500 0.7500
Si 0.1635 0.1635 0.8365
Si 0.1626 0.6725 0.8374
Si 0.3275 0.8374 0.6725
Si 0.6725 0.1626 0.3275
Si 0.8374 0.3275 0.1626
Si 0.8365 0.8365 0.1635
Au 0.3318 0.3318 0.6682
Au 0.6682 0.6682 0.3318

Main lines, low angle first (2θ = 10–90°):
| 2theta | d [Å] | I_rel |
| --- | --- | --- |
| 15.09 | 5.872 | 15 |
| 20.90 | 4.250 | 14 |
| 22.88 | 3.886 | 29 |
| 30.47 | 2.934 | 100 |
| 36.85 | 2.439 | 23 |
| 42.69 | 2.118 | 30 |
| 53.25 | 1.720 | 13 |
| 57.64 | 1.599 | 21 |

# 4
Theoretical XRD peak list
Compound: Lu2C3
Radiation: λ = 1.5418 Å (Cu Kα)
Structure: a crystal structure in OQMD, relaxed with PBE
Peak positions follow from Bragg's law for the DFT cell and can differ from measured ones.

Structural model:
Lattice parameters (Å, degrees): 6.9221 6.9221 6.9221 109.47 109.47 109.47
Positions (direct):
Lu 0.0000 0.4001 0.5000
Lu 0.0000 0.9001 0.5000
Lu 0.0999 0.0999 0.0999
Lu 0.4001 0.5000 0.0000
Lu 0.5000 0.0000 0.4001
Lu 0.5000 0.0000 0.9001
Lu 0.5999 0.5999 0.5999
Lu 0.9001 0.5000 0.0000
C 0.0408 0.7500 0.7908
C 0.2092 0.7500 0.9592
C 0.2500 0.5408 0.2908
C 0.2500 0.7092 0.4592
C 0.2908 0.2500 0.5408
C 0.4592 0.2500 0.7092
C 0.5408 0.2908 0.2500
C 0.7092 0.4592 0.2500
C 0.7500 0.7908 0.0408
C 0.7500 0.9592 0.2092
C 0.7908 0.0408 0.7500
C 0.9592 0.2092 0.7500

Main lines, low angle first (2θ = 10–90°):
| 2theta | d [Å] | I_rel |
| --- | --- | --- |
| 27.33 | 3.263 | 47 |
| 31.66 | 2.826 | 100 |
| 35.52 | 2.528 | 93 |
| 42.31 | 2.136 | 47 |
| 53.79 | 1.704 | 27 |
| 58.92 | 1.568 | 61 |
| 63.78 | 1.459 | 28 |
| 77.37 | 1.233 | 18 |

# 5
Theoretical XRD peak list
Compound: MgIr
Radiation: λ = 1.5418 Å (Cu Kα)
Structure: a crystal structure in OQMD, relaxed with PBE
Peak positions follow from Bragg's law for the DFT cell and can differ from measured ones.

Structural model:
Lattice parameters (Å, degrees): 5.4328 4.9486 4.6159 90.00 90.00 90.00
Positions (direct):
Mg 0.1377 0.0749 0.2500
Mg 0.1377 0.4251 0.7500
Mg 0.8623 0.5749 0.2500
Mg 0.8623 0.9251 0.7500
Ir 0.3803 0.5881 0.2500
Ir 0.3803 0.9119 0.7500
Ir 0.6197 0.0881 0.2500
Ir 0.6197 0.4119 0.7500

Main lines, low angle first (2θ = 10–90°):
| 2theta | d [Å] | I_rel |
| --- | --- | --- |
| 16.32 | 5.433 | 100 |
| 24.33 | 3.658 | 19 |
| 31.20 | 2.867 | 50 |
| 37.78 | 2.381 | 22 |
| 39.03 | 2.308 | 37 |
| 41.40 | 2.181 | 49 |
| 42.73 | 2.116 | 84 |
| 44.78 | 2.024 | 27 |

# 6
Theoretical XRD peak list
Compound: Lu4Zr2Cd3N3
Radiation: λ = 1.5418 Å (Cu Kα)
Structure: a crystal structure in OQMD, relaxed with PBE
Peak positions follow from Bragg's law for the DFT cell and can differ from measured ones.

Structural model:
Lattice parameters (Å, degrees): 5.8223 5.8223 15.6758 100.72 100.72 60.05
Positions (direct):
Lu 0.0315 0.1929 0.0863
Lu 0.1341 0.3052 0.4136
Lu 0.1929 0.0315 0.5863
Lu 0.3052 0.1341 0.9136
Lu 0.6948 0.8659 0.0864
Lu 0.8071 0.9685 0.4137
Lu 0.8659 0.6948 0.5864
Lu 0.9685 0.8071 0.9137
Zr 0.3568 0.5256 0.0767
Zr 0.4744 0.6432 0.4233
Zr 0.5256 0.3568 0.5767
Zr 0.6432 0.4744 0.9233
Cd 0.1104 0.8896 0.2500
Cd 0.2815 0.4142 0.7504
Cd 0.4142 0.2815 0.2504
Cd 0.5858 0.7185 0.7496
Cd 0.7185 0.5858 0.2496
Cd 0.8896 0.1104 0.7500
N 0.0000 0.5000 0.0000
N 0.1665 0.6666 0.5000
N 0.3334 0.8335 0.0000
N 0.5000 0.0000 0.5000
N 0.6666 0.1665 0.0000
N 0.8335 0.3334 0.5000

Main lines, low angle first (2θ = 10–90°):
| 2theta | d [Å] | I_rel |
| --- | --- | --- |
| 30.70 | 2.912 | 21 |
| 35.17 | 2.552 | 21 |
| 35.49 | 2.529 | 100 |
| 47.37 | 1.919 | 16 |
| 54.59 | 1.681 | 20 |
| 63.32 | 1.469 | 18 |
| 66.62 | 1.404 | 19 |
| 66.82 | 1.400 | 15 |

# 7
Theoretical XRD peak list
Compound: KCdP3O9
Radiation: λ = 1.5418 Å (Cu Kα)
Structure: a crystal structure in OQMD, relaxed with PBE
Peak positions follow from Bragg's law for the DFT cell and can differ from measured ones.

Structural model:
Lattice parameters (Å, degrees): 6.3378 6.3378 6.3378 107.85 107.85 107.85
Positions (direct):
K 0.0000 0.0000 0.0000
Cd 0.4929 0.4929 0.4929
P 0.0217 0.5990 0.4783
P 0.4783 0.0217 0.5990
P 0.5990 0.4783 0.0217
O 0.0926 0.4031 0.3690
O 0.2545 0.8670 0.6450
O 0.3690 0.0926 0.4031
O 0.4031 0.3690 0.0926
O 0.5674 0.6361 0.8927
O 0.6361 0.8927 0.5674
O 0.6450 0.2545 0.8670
O 0.8670 0.6450 0.2545
O 0.8927 0.5674 0.6361

Main lines, low angle first (2θ = 10–90°):
| 2theta | d [Å] | I_rel |
| --- | --- | --- |
| 16.38 | 5.412 | 93 |
| 17.31 | 5.122 | 100 |
| 29.68 | 3.010 | 42 |
| 30.22 | 2.957 | 29 |
| 33.11 | 2.706 | 53 |
| 35.03 | 2.561 | 25 |
| 37.59 | 2.393 | 35 |
| 45.43 | 1.996 | 32 |

# 8
Theoretical XRD peak list
Compound: Sm2Se3
Radiation: λ = 1.5418 Å (Cu Kα)
Structure: a crystal structure in OQMD, relaxed with PBE
Peak positions follow from Bragg's law for the DFT cell and can differ from measured ones.

Structural model:
Lattice parameters (Å, degrees): 11.3755 4.1191 11.0774 90.00 90.00 90.00
Positions (direct):
Sm 0.0119 0.2500 0.1870
Sm 0.1938 0.2500 0.5023
Sm 0.3062 0.7500 0.0023
Sm 0.4881 0.7500 0.6870
Sm 0.5119 0.2500 0.3130
Sm 0.6938 0.2500 0.9977
Sm 0.8062 0.7500 0.4977
Sm 0.9881 0.7500 0.8130
Se 0.0446 0.7500 0.3749
Se 0.1204 0.2500 0.9441
Se 0.2280 0.7500 0.6990
Se 0.2720 0.2500 0.1990
Se 0.3796 0.7500 0.4441
Se 0.4554 0.2500 0.8749
Se 0.5446 0.7500 0.1251
Se 0.6204 0.2500 0.5559
Se 0.7280 0.7500 0.8010
Se 0.7720 0.2500 0.3010
Se 0.8796 0.7500 0.0559
Se 0.9554 0.2500 0.6251

Main lines, low angle first (2θ = 10–90°):
| 2theta | d [Å] | I_rel |
| --- | --- | --- |
| 22.41 | 3.968 | 62 |
| 28.11 | 3.174 | 60 |
| 31.30 | 2.858 | 59 |
| 32.55 | 2.751 | 75 |
| 33.11 | 2.705 | 53 |
| 33.53 | 2.673 | 80 |
| 36.06 | 2.491 | 100 |
| 43.96 | 2.060 | 66 |

# 9
Theoretical XRD peak list
Compound: Lu3CoN2
Radiation: λ = 1.5418 Å (Cu Kα)
Structure: a crystal structure in OQMD, relaxed with PBE
Peak positions follow from Bragg's law for the DFT cell and can differ from measured ones.

Structural model:
Lattice parameters (Å, degrees): 3.3249 3.3249 18.8228 90.00 90.00 120.00
Positions (direct):
Lu 0.0000 0.0000 0.0000
Lu 0.0000 0.0000 0.5000
Lu 0.3333 0.6667 0.1447
Lu 0.3333 0.6667 0.3553
Lu 0.6667 0.3333 0.6447
Lu 0.6667 0.3333 0.8553
Co 0.0000 0.0000 0.2500
Co 0.0000 0.0000 0.7500
N 0.3333 0.6667 0.5734
N 0.3333 0.6667 0.9266
N 0.6667 0.3333 0.0734
N 0.6667 0.3333 0.4266

Main lines, low angle first (2θ = 10–90°):
| 2theta | d [Å] | I_rel |
| --- | --- | --- |
| 28.45 | 3.137 | 21 |
| 31.43 | 2.846 | 50 |
| 32.52 | 2.753 | 19 |
| 36.59 | 2.456 | 100 |
| 39.40 | 2.287 | 52 |
| 54.20 | 1.692 | 19 |
| 55.25 | 1.662 | 36 |
| 68.09 | 1.377 | 22 |

# 10
Theoretical XRD peak list
Compound: KRbCuP
Radiation: λ = 1.5418 Å (Cu Kα)
Structure: a crystal structure in OQMD, relaxed with PBE
Peak positions follow from Bragg's law for the DFT cell and can differ from measured ones.

Structural model:
Lattice parameters (Å, degrees): 5.8480 7.4517 10.0577 90.00 90.00 90.00
Positions (direct):
K 0.2500 0.1436 0.0000
K 0.2500 0.6436 0.5000
K 0.7500 0.3564 0.5000
K 0.7500 0.8564 0.0000
Rb 0.2500 0.1431 0.3378
Rb 0.2500 0.6431 0.8378
Rb 0.7500 0.3569 0.8378
Rb 0.7500 0.8569 0.3378
Cu 0.0000 0.0000 0.6679
Cu 0.0000 0.5000 0.1679
Cu 0.5000 0.0000 0.6679
Cu 0.5000 0.5000 0.1679
P 0.2500 0.2292 0.6703
P 0.2500 0.7292 0.1703
P 0.7500 0.2708 0.1703
P 0.7500 0.7708 0.6703

Main lines, low angle first (2θ = 10–90°):
| 2theta | d [Å] | I_rel |
| --- | --- | --- |
| 14.80 | 5.987 | 37 |
| 28.40 | 3.142 | 78 |
| 29.21 | 3.057 | 96 |
| 33.06 | 2.709 | 100 |
| 34.12 | 2.627 | 62 |
| 35.51 | 2.528 | 31 |
| 37.29 | 2.411 | 30 |
| 55.77 | 1.648 | 47 |

# 11
Theoretical XRD peak list
Compound: LaNdCBr
Radiation: λ = 1.5418 Å (Cu Kα)
Structure: a crystal structure in OQMD, relaxed with PBE
Peak positions follow from Bragg's law for the DFT cell and can differ from measured ones.

Structural model:
Lattice parameters (Å, degrees): 3.8412 3.8412 15.1738 90.00 90.00 120.00
Positions (direct):
La 0.3333 0.6667 0.4063
La 0.6667 0.3333 0.5937
Nd 0.3333 0.6667 0.0901
Nd 0.6667 0.3333 0.9099
C 0.0000 0.0000 0.0000
C 0.0000 0.0000 0.5000
Br 0.3333 0.6667 0.7572
Br 0.6667 0.3333 0.2428

Main lines, low angle first (2θ = 10–90°):
| 2theta | d [Å] | I_rel |
| --- | --- | --- |
| 26.80 | 3.327 | 24 |
| 32.21 | 2.779 | 100 |
| 35.50 | 2.529 | 15 |
| 45.03 | 2.013 | 13 |
| 47.33 | 1.921 | 24 |
| 58.41 | 1.580 | 18 |
| 60.53 | 1.530 | 19 |
| 78.37 | 1.220 | 15 |

# 12
Theoretical XRD peak list
Compound: Cu7Ag
Radiation: λ = 1.5418 Å (Cu Kα)
Structure: a crystal structure in OQMD, relaxed with PBE
Peak positions follow from Bragg's law for the DFT cell and can differ from measured ones.

Structural model:
Lattice parameters (Å, degrees): 4.5172 4.5203 5.2475 90.08 106.89 99.67
Positions (direct):
Cu 0.0000 0.0000 0.0000
Cu 0.0000 0.4993 0.7599
Cu 0.0000 0.5007 0.2401
Cu 0.4897 0.7467 0.1175
Cu 0.4991 0.7387 0.6302
Cu 0.5009 0.2613 0.3698
Cu 0.5103 0.2533 0.8825
Ag 0.0000 0.0000 0.5000

Main lines, low angle first (2θ = 10–90°):
| 2theta | d [Å] | I_rel |
| --- | --- | --- |
| 42.28 | 2.137 | 100 |
| 42.45 | 2.130 | 99 |
| 49.25 | 1.850 | 62 |
| 49.46 | 1.843 | 31 |
| 72.41 | 1.305 | 27 |
| 87.32 | 1.117 | 16 |
| 87.57 | 1.114 | 11 |
| 87.69 | 1.113 | 21 |

# 13
Theoretical XRD peak list
Compound: Te2Pd2PtF2
Radiation: λ = 1.5418 Å (Cu Kα)
Structure: a crystal structure in OQMD, relaxed with PBE
Peak positions follow from Bragg's law for the DFT cell and can differ from measured ones.

Structural model:
Lattice parameters (Å, degrees): 3.9479 3.9479 7.5474 90.00 90.00 90.00
Positions (direct):
Te 0.0000 0.5000 0.2318
Te 0.5000 0.0000 0.7682
Pd 0.0000 0.5000 0.7405
Pd 0.5000 0.0000 0.2595
Pt 0.0000 0.0000 0.0000
F 0.0000 0.0000 0.5000
F 0.5000 0.5000 0.5000

Main lines, low angle first (2θ = 10–90°):
| 2theta | d [Å] | I_rel |
| --- | --- | --- |
| 11.73 | 7.547 | 27 |
| 22.52 | 3.948 | 17 |
| 25.46 | 3.498 | 26 |
| 32.83 | 2.728 | 16 |
| 40.18 | 2.244 | 100 |
| 45.98 | 1.974 | 35 |
| 68.83 | 1.364 | 18 |
| 81.15 | 1.185 | 25 |